The following is a computed X-ray powder pattern of KTaP2O8. It was derived from DFT lattice parameters and positions (PBE), using Cu Kα (λ = 1.5418 Å).

Structural model:
Cell: 5.2477 5.2477 25.5925 Å, 90.00 90.00 120.00°
Space group R-3m (No. 166, hexagonal axes)
Symmetry-distinct sites (fractional):
K  0.0000  0.0000  0.0000 x3
Ta  0.0000  0.0000  0.5000 x3
P  0.0000  0.0000  0.2359 x6
O  0.0000  0.0000  0.2941 x6
O  0.0174  0.5087  0.8784 x18

The 12 most intense peaks (15 to 90 degrees two-theta), in order of falling intensity:
- 24.02 deg, intensity 100.0
- 19.84 deg, intensity 36.1
- 34.17 deg, intensity 28.7
- 20.77 deg, intensity 26.2
- 40.35 deg, intensity 18.1
- 55.38 deg, intensity 17.5
- 34.28 deg, intensity 16.3
- 49.18 deg, intensity 14.1
- 31.40 deg, intensity 12.8
- 61.22 deg, intensity 11.4
- 55.53 deg, intensity 10.7
- 40.45 deg, intensity 10.1

The following is a computed X-ray powder pattern of Ac3Pr6Er2. It was derived from DFT lattice parameters and positions (PBE), using Cu Kα (λ = 1.5418 Å).

Structural model:
Cell: 3.7659 3.7659 100.6157 Å, 90.00 90.00 120.00°
Space group R-3m (No. 166, hexagonal axes)
Symmetry-distinct sites (fractional):
Ac  0.0000  0.0000  0.0000 x3
Ac  0.0000  0.0000  0.2708 x6
Pr  0.0000  0.0000  0.0942 x6
Pr  0.0000  0.0000  0.1818 x6
Pr  0.0000  0.0000  0.3646 x6
Er  0.0000  0.0000  0.4561 x6

The 12 most intense peaks (15 to 90 degrees two-theta), in order of falling intensity:
- 29.07 deg, intensity 100.0
- 33.76 deg, intensity 64.7
- 29.29 deg, intensity 28.9
- 57.53 deg, intensity 26.4
- 48.34 deg, intensity 25.4
- 48.63 deg, intensity 19.5
- 57.40 deg, intensity 15.0
- 60.25 deg, intensity 12.4
- 78.26 deg, intensity 12.2
- 57.78 deg, intensity 11.3
- 80.74 deg, intensity 10.8
- 78.57 deg, intensity 7.0

The following is a computed X-ray powder pattern of La3MgBe2Pd9. It was derived from DFT lattice parameters and positions (PBE), using Cu Kα (λ = 1.5418 Å).

Structural model:
Cell: 5.9339 5.9339 9.5621 Å, 90.00 90.00 120.00°
Space group P-3m1 (No. 164)
Symmetry-distinct sites (fractional):
La  0.0000  0.0000  0.0000 x1
La  0.3333  0.6667  0.6784 x2
Mg  0.0000  0.0000  0.5000 x1
Be  0.3333  0.6667  0.1499 x2
Pd  0.0000  0.5000  0.0000 x3
Pd  0.1633  0.3266  0.2878 x6

The 12 most intense peaks (15 to 90 degrees two-theta), in order of falling intensity:
- 36.20 deg, intensity 100.0
- 39.83 deg, intensity 81.9
- 27.99 deg, intensity 46.5
- 52.27 deg, intensity 23.0
- 62.62 deg, intensity 22.4
- 69.95 deg, intensity 19.8
- 60.33 deg, intensity 17.9
- 45.33 deg, intensity 14.2
- 76.83 deg, intensity 12.0
- 74.52 deg, intensity 11.7
- 37.63 deg, intensity 10.6
- 69.39 deg, intensity 9.6

The following is a computed X-ray powder pattern of NpPbO6. It was derived from DFT lattice parameters and positions (PBE), using Cu Kα (λ = 1.5418 Å).

Structural model:
Cell: 4.6149 5.5403 6.0906 Å, 67.47 81.78 68.58°
Space group P-1 (No. 2)
Symmetry-distinct sites (fractional):
Np  0.0000  0.0000  0.0000 x1
Pb  0.5000  0.5000  0.5000 x1
O  0.0668  0.3056  0.7425 x2
O  0.2622  0.0065  0.2069 x2
O  0.4142  0.6039  0.9096 x2

The 12 most intense peaks (15 to 90 degrees two-theta), in order of falling intensity:
- 19.49 deg, intensity 100.0
- 26.10 deg, intensity 85.0
- 22.58 deg, intensity 71.0
- 28.41 deg, intensity 33.5
- 32.30 deg, intensity 30.4
- 33.19 deg, intensity 29.7
- 31.81 deg, intensity 23.3
- 37.37 deg, intensity 20.9
- 39.58 deg, intensity 19.0
- 40.76 deg, intensity 18.6
- 53.78 deg, intensity 16.1
- 33.45 deg, intensity 15.8

The following is a computed X-ray powder pattern of AcCdAs. It was derived from DFT lattice parameters and positions (PBE), using Cu Kα (λ = 1.5418 Å).

Structural model:
Cell: 4.7500 4.7500 4.3072 Å, 90.00 90.00 120.00°
Space group P3m1 (No. 156)
Symmetry-distinct sites (fractional):
Ac  0.0000  0.0000  0.0000 x1
Cd  0.6667  0.3333  0.4774 x1
As  0.3333  0.6667  0.5179 x1

The 12 most intense peaks (15 to 90 degrees two-theta), in order of falling intensity:
- 30.04 deg, intensity 100.0
- 37.88 deg, intensity 45.5
- 49.08 deg, intensity 25.9
- 57.79 deg, intensity 25.8
- 63.63 deg, intensity 23.9
- 21.60 deg, intensity 17.6
- 41.95 deg, intensity 11.1
- 88.69 deg, intensity 10.1
- 69.32 deg, intensity 9.2
- 83.60 deg, intensity 9.1
- 68.42 deg, intensity 8.0
- 81.81 deg, intensity 5.9

The following is a computed X-ray powder pattern of Th2ZnPRh6. It was derived from DFT lattice parameters and positions (PBE), using Cu Kα (λ = 1.5418 Å).

Structural model:
Cell: 5.8592 5.8592 37.1542 Å, 90.00 90.00 120.00°
Space group R-3m (No. 166, hexagonal axes)
Symmetry-distinct sites (fractional):
Th  0.0000  0.0000  0.1148 x6
Th  0.0000  0.0000  0.2861 x6
Zn  0.0000  0.0000  0.4214 x6
P  0.0000  0.0000  0.0000 x3
P  0.0000  0.0000  0.5000 x3
Rh  0.0125  0.5063  0.2967 x18
Rh  0.0314  0.5157  0.8669 x18

The 12 most intense peaks (15 to 90 degrees two-theta), in order of falling intensity:
- 39.36 deg, intensity 100.0
- 37.46 deg, intensity 89.6
- 28.84 deg, intensity 61.1
- 63.51 deg, intensity 37.3
- 30.51 deg, intensity 28.0
- 36.07 deg, intensity 26.2
- 71.21 deg, intensity 25.7
- 35.72 deg, intensity 24.2
- 29.80 deg, intensity 24.1
- 43.18 deg, intensity 21.3
- 55.49 deg, intensity 19.9
- 54.37 deg, intensity 17.9

The following is a computed X-ray powder pattern of NaCeBiN. It was derived from DFT lattice parameters and positions (PBE), using Cu Kα (λ = 1.5418 Å).

Structural model:
Cell: 3.3334 3.3334 16.5223 Å, 90.00 90.00 90.00°
Space group I4mm (No. 107)
Symmetry-distinct sites (fractional):
Na  0.0000  0.0000  0.0000 x2
Ce  0.0000  0.0000  0.3172 x2
Bi  0.0000  0.0000  0.6435 x2
N  0.0000  0.0000  0.8556 x2

The 12 most intense peaks (15 to 90 degrees two-theta), in order of falling intensity:
- 31.37 deg, intensity 100.0
- 38.18 deg, intensity 34.0
- 27.29 deg, intensity 27.6
- 51.00 deg, intensity 26.5
- 64.79 deg, intensity 25.8
- 32.52 deg, intensity 23.2
- 21.51 deg, intensity 19.0
- 57.29 deg, intensity 18.4
- 83.54 deg, intensity 12.8
- 65.46 deg, intensity 12.6
- 44.24 deg, intensity 11.7
- 55.10 deg, intensity 11.7

The following is a computed X-ray powder pattern of Cs8NaAu4. It was derived from DFT lattice parameters and positions (PBE), using Cu Kα (λ = 1.5418 Å).

Structural model:
Cell: 24.7638 5.2664 17.0807 Å, 90.00 131.20 90.00°
Space group Cm (No. 8)
Symmetry-distinct sites (fractional):
Cs  0.0000  0.0000  0.0000 x2
Cs  0.0270  0.0000  0.7364 x2
Cs  0.1153  0.5000  0.5719 x2
Cs  0.2017  0.5000  0.0772 x2
Cs  0.2887  0.0000  0.9120 x2
Cs  0.3170  0.0000  0.6505 x2
Cs  0.3564  0.0000  0.3945 x2
Cs  0.4609  0.5000  0.2547 x2
Na  0.1598  0.5000  0.3261 x2
Au  0.0094  0.5000  0.8637 x2
Au  0.3075  0.5000  0.7864 x2
Au  0.3294  0.0000  0.1595 x2
Au  0.4878  0.5000  0.4900 x2

The 12 most intense peaks (15 to 90 degrees two-theta), in order of falling intensity:
- 35.67 deg, intensity 100.0
- 27.48 deg, intensity 80.2
- 22.13 deg, intensity 76.2
- 23.01 deg, intensity 55.1
- 34.05 deg, intensity 53.7
- 20.48 deg, intensity 51.6
- 26.23 deg, intensity 50.6
- 31.55 deg, intensity 40.5
- 22.56 deg, intensity 39.7
- 19.05 deg, intensity 31.9
- 28.75 deg, intensity 30.0
- 33.04 deg, intensity 27.3

The following is a computed X-ray powder pattern of CsPrMgI6. It was derived from DFT lattice parameters and positions (PBE), using Cu Kα (λ = 1.5418 Å).

Structural model:
Cell: 7.9272 7.9272 8.6889 Å, 90.00 90.00 120.00°
Space group P312 (No. 149)
Symmetry-distinct sites (fractional):
Cs  0.0000  0.0000  0.0000 x1
Pr  0.3333  0.6667  0.5000 x1
Mg  0.6667  0.3333  0.5000 x1
I  0.3819  0.0184  0.7032 x6

The 12 most intense peaks (15 to 90 degrees two-theta), in order of falling intensity:
- 24.69 deg, intensity 100.0
- 30.53 deg, intensity 78.4
- 16.46 deg, intensity 50.8
- 39.37 deg, intensity 34.1
- 36.13 deg, intensity 26.8
- 38.50 deg, intensity 22.0
- 47.03 deg, intensity 19.2
- 47.75 deg, intensity 18.0
- 48.97 deg, intensity 15.7
- 40.77 deg, intensity 15.4
- 67.71 deg, intensity 14.8
- 50.63 deg, intensity 13.8

The following is a computed X-ray powder pattern of Cs2Te3. It was derived from DFT lattice parameters and positions (PBE), using Cu Kα (λ = 1.5418 Å).

Structural model:
Cell: 6.9463 12.1872 10.3569 Å, 90.00 90.00 90.00°
Space group Cmce (No. 64)
Symmetry-distinct sites (fractional):
Cs  0.0000  0.1758  0.0810 x8
Te  0.0000  0.0000  0.5000 x4
Te  0.2500  0.0604  0.7500 x8

The 12 most intense peaks (15 to 90 degrees two-theta), in order of falling intensity:
- 26.84 deg, intensity 100.0
- 31.00 deg, intensity 73.4
- 22.61 deg, intensity 61.5
- 29.75 deg, intensity 54.5
- 30.86 deg, intensity 43.5
- 47.65 deg, intensity 41.7
- 30.58 deg, intensity 40.1
- 37.77 deg, intensity 37.3
- 45.96 deg, intensity 25.5
- 52.19 deg, intensity 23.1
- 34.40 deg, intensity 21.3
- 61.93 deg, intensity 16.2

The following is a computed X-ray powder pattern of ScTe2As. It was derived from DFT lattice parameters and positions (PBE), using Cu Kα (λ = 1.5418 Å).

Structural model:
Cell: 3.6327 3.6327 8.2627 Å, 90.00 90.00 90.00°
Space group P4mm (No. 99)
Symmetry-distinct sites (fractional):
Sc  0.0000  0.0000  0.0000 x1
Te  0.0000  0.0000  0.6290 x1
Te  0.5000  0.5000  0.2280 x1
As  0.5000  0.5000  0.8974 x1

The 12 most intense peaks (15 to 90 degrees two-theta), in order of falling intensity:
- 26.81 deg, intensity 100.0
- 34.93 deg, intensity 81.8
- 32.83 deg, intensity 64.5
- 41.13 deg, intensity 43.5
- 48.46 deg, intensity 35.0
- 50.23 deg, intensity 28.6
- 32.51 deg, intensity 27.2
- 57.84 deg, intensity 23.4
- 61.31 deg, intensity 20.5
- 66.86 deg, intensity 19.9
- 61.12 deg, intensity 17.3
- 73.55 deg, intensity 14.8

The following is a computed X-ray powder pattern of PN. It was derived from DFT lattice parameters and positions (PBE), using Cu Kα (λ = 1.5418 Å).

Structural model:
Cell: 13.3086 2.6342 9.5377 Å, 90.00 90.00 90.00°
Space group Pmn2_1 (No. 31)
Symmetry-distinct sites (fractional):
P  0.0000  0.0171  0.0000 x2
P  0.2413  0.4908  0.7264 x4
N  0.0000  0.5171  0.8967 x2
N  0.2284  0.0092  0.1318 x4

The 12 most intense peaks (15 to 90 degrees two-theta), in order of falling intensity:
- 22.94 deg, intensity 100.0
- 26.80 deg, intensity 43.0
- 53.64 deg, intensity 16.6
- 48.01 deg, intensity 12.4
- 39.06 deg, intensity 12.4
- 18.61 deg, intensity 12.3
- 22.10 deg, intensity 11.8
- 45.08 deg, intensity 11.2
- 67.79 deg, intensity 6.7
- 35.00 deg, intensity 6.4
- 36.69 deg, intensity 5.5
- 75.47 deg, intensity 5.1

The following is a computed X-ray powder pattern of Nd2Er3Al. It was derived from DFT lattice parameters and positions (PBE), using Cu Kα (λ = 1.5418 Å).

Structural model:
Cell: 4.8159 14.9754 4.8746 Å, 90.00 90.00 90.00°
Space group Cmmm (No. 65)
Symmetry-distinct sites (fractional):
Nd  0.0000  0.1592  0.0000 x4
Er  0.0000  0.0000  0.5000 x2
Er  0.0000  0.3385  0.5000 x4
Al  0.0000  0.5000  0.0000 x2

The 12 most intense peaks (15 to 90 degrees two-theta), in order of falling intensity:
- 31.68 deg, intensity 100.0
- 35.98 deg, intensity 17.2
- 36.88 deg, intensity 16.8
- 37.34 deg, intensity 16.2
- 62.00 deg, intensity 13.9
- 63.20 deg, intensity 13.9
- 63.83 deg, intensity 13.4
- 52.48 deg, intensity 11.7
- 66.17 deg, intensity 11.7
- 53.49 deg, intensity 11.6
- 52.83 deg, intensity 11.5
- 87.66 deg, intensity 5.8

The following is a computed X-ray powder pattern of Tl3In8Pb3. It was derived from DFT lattice parameters and positions (PBE), using Cu Kα (λ = 1.5418 Å).

Structural model:
Cell: 4.8865 11.9137 14.6419 Å, 90.00 90.00 90.00°
Space group Immm (No. 71)
Symmetry-distinct sites (fractional):
Tl  0.0000  0.0000  0.0000 x2
Tl  0.0000  0.0000  0.2977 x4
In  0.0000  0.2811  0.1571 x8
In  0.0000  0.3783  0.3501 x8
Pb  0.0000  0.1884  0.5000 x4
Pb  0.0000  0.5000  0.0000 x2

The 12 most intense peaks (15 to 90 degrees two-theta), in order of falling intensity:
- 29.91 deg, intensity 100.0
- 31.48 deg, intensity 54.7
- 36.80 deg, intensity 49.3
- 28.98 deg, intensity 21.2
- 62.08 deg, intensity 17.9
- 35.83 deg, intensity 16.4
- 57.01 deg, intensity 15.4
- 53.04 deg, intensity 13.4
- 38.17 deg, intensity 10.9
- 68.63 deg, intensity 10.4
- 38.27 deg, intensity 10.2
- 24.33 deg, intensity 9.0